This entry pairs a crystal structure of TeWSeS2Br with its computed powder X-ray diffraction pattern. Radiation: Cu Kα, 1.54184 Å. Structure: DFT lattice parameters and positions (GGA-PBE).
Intensities are scaled so that the largest is 100.

Most intense lines, 2θ from 15° to 90°, by angle:
(hkl)	d/Å	Position (°2θ)	I_rel
1 0 -1	5.821	15.2	48
0 1 -2	3.721	23.9	100
1 -2 1	3.302	27.0	44
1 2 -2	3.075	29.0	38
0 2 1	2.630	34.1	73
-2 1 2	2.604	34.4	40
-2 2 1	2.496	36.0	47
2 2 -2	2.346	38.4	39
2 2 -3	2.205	40.9	41
-2 1 3	2.080	43.5	38

Atomic structure:
```
TeWSeS2Br
1.0
6.3625 0.0000 0.0000
-0.8496 7.8695 0.0000
-3.1651 -3.4214 6.6108
Te W Se S Br
2 2 2 4 2
Direct
0.1276 0.3361 0.1666
0.8724 0.6639 0.8334
0.2295 0.0009 0.0006
0.7705 0.9991 0.9994
0.1044 0.9139 0.2321
0.8956 0.0861 0.7679
0.3410 0.8073 0.7342
0.4617 0.7635 0.9880
0.5383 0.2365 0.0120
0.6590 0.1927 0.2658
0.3358 0.2478 0.6077
0.6642 0.7522 0.3923
```


This entry pairs a crystal structure of TeWSeS2Br with its computed powder X-ray diffraction pattern. Radiation: Cu Kα, 1.54184 Å. Structure: DFT lattice parameters and positions (GGA-PBE).
Intensities are scaled so that the largest is 100.

Most intense lines, 2θ from 15° to 90°, by angle:
(hkl)	d/Å	Position (°2θ)	I_rel
0 2 -1	3.748	23.7	56
0 2 -2	3.271	27.3	69
-2 1 2	2.771	32.3	56
1 2 -1	2.678	33.5	90
1 0 -3	2.667	33.6	53
2 -1 1	2.583	34.7	100
2 1 -1	2.395	37.6	65
-2 3 1	2.251	40.1	52
-2 1 3	2.240	40.3	90
0 3 -3	2.180	41.4	59

Atomic structure:
```
TeWSeS2Br
1.0
6.4199 0.0000 0.0000
-3.1909 7.5032 0.0000
-2.1695 -3.4151 7.2805
Te W Se S Br
2 2 2 4 2
Direct
0.2210 0.2656 0.2633
0.7790 0.7344 0.7367
0.2800 0.0002 0.0003
0.7200 0.9998 0.9997
0.0111 0.8934 0.1901
0.9889 0.1066 0.8099
0.3257 0.7092 0.9134
0.3338 0.8520 0.7288
0.6662 0.1480 0.2712
0.6743 0.2908 0.0866
0.3991 0.6376 0.2340
0.6009 0.3624 0.7660
```


This entry pairs a crystal structure of TeWSeS2Br with its computed powder X-ray diffraction pattern. Radiation: Cu Kα, 1.54184 Å. Structure: DFT lattice parameters and positions (GGA-PBE).
Intensities are scaled so that the largest is 100.

Most intense lines, 2θ from 15° to 90°, by angle:
(hkl)	d/Å	Position (°2θ)	I_rel
-1 1 1	4.805	18.5	30
0 2 -1	3.706	24.0	71
0 2 -2	3.238	27.5	47
-2 1 2	2.785	32.1	49
2 0 0	2.683	33.4	51
1 0 -3	2.675	33.5	31
1 2 -1	2.658	33.7	34
2 -1 1	2.580	34.8	71
-2 1 3	2.252	40.0	100
0 2 2	2.084	43.4	52

Atomic structure:
```
TeWSeS2Br
1.0
6.4306 0.0000 0.0000
-3.1962 7.4210 0.0000
-2.2246 -3.3354 7.3014
Te W Se S Br
2 2 2 4 2
Direct
0.2225 0.2657 0.2621
0.7775 0.7343 0.7379
0.2769 0.0003 0.0005
0.7231 0.9997 0.9995
0.3255 0.8539 0.7082
0.6745 0.1461 0.2918
0.0137 0.9045 0.1774
0.3274 0.7097 0.9197
0.6726 0.2903 0.0803
0.9863 0.0955 0.8226
0.4115 0.6495 0.2476
0.5885 0.3505 0.7524
```


This entry pairs a crystal structure of TeWSe2SBr with its computed powder X-ray diffraction pattern. Radiation: Cu Kα, 1.54184 Å. Structure: DFT lattice parameters and positions (GGA-PBE).
Intensities are scaled so that the largest is 100.

Most intense lines, 2θ from 15° to 90°, by angle:
(hkl)	d/Å	Position (°2θ)	I_rel
1 2 -2	2.882	31.0	73
2 0 0	2.853	31.4	71
-2 1 2	2.748	32.6	69
1 2 -3	2.493	36.0	69
2 1 0	2.387	37.7	93
-2 2 2	2.260	39.9	69
2 2 -1	2.139	42.3	63
-2 3 1	2.018	44.9	77
0 1 -4	1.994	45.5	65
0 2 -4	1.971	46.0	100

Atomic structure:
```
TeWSe2SBr
1.0
6.4388 0.0000 0.0000
-1.2240 7.3240 0.0000
-3.1846 -2.9784 7.4462
Te W Se S Br
2 2 4 2 2
Direct
0.1753 0.1572 0.2940
0.8247 0.8428 0.7060
0.2769 0.0000 0.0000
0.7231 0.0000 0.0000
0.3662 0.6878 0.8493
0.4426 0.1577 0.8234
0.5574 0.8423 0.1766
0.6338 0.3122 0.1507
0.0634 0.2540 0.0313
0.9366 0.7460 0.9687
0.2028 0.8518 0.4596
0.7972 0.1482 0.5404
```


Repeat the second record exactly.
This entry pairs a crystal structure of TeWSeS2Br with its computed powder X-ray diffraction pattern. Radiation: Cu Kα, 1.54184 Å. Structure: DFT lattice parameters and positions (GGA-PBE).
Intensities are scaled so that the largest is 100.

Most intense lines, 2θ from 15° to 90°, by angle:
(hkl)	d/Å	Position (°2θ)	I_rel
0 2 -1	3.748	23.7	56
0 2 -2	3.271	27.3	69
-2 1 2	2.771	32.3	56
1 2 -1	2.678	33.5	90
1 0 -3	2.667	33.6	53
2 -1 1	2.583	34.7	100
2 1 -1	2.395	37.6	65
-2 3 1	2.251	40.1	52
-2 1 3	2.240	40.3	90
0 3 -3	2.180	41.4	59

Atomic structure:
```
TeWSeS2Br
1.0
6.4199 0.0000 0.0000
-3.1909 7.5032 0.0000
-2.1695 -3.4151 7.2805
Te W Se S Br
2 2 2 4 2
Direct
0.2210 0.2656 0.2633
0.7790 0.7344 0.7367
0.2800 0.0002 0.0003
0.7200 0.9998 0.9997
0.0111 0.8934 0.1901
0.9889 0.1066 0.8099
0.3257 0.7092 0.9134
0.3338 0.8520 0.7288
0.6662 0.1480 0.2712
0.6743 0.2908 0.0866
0.3991 0.6376 0.2340
0.6009 0.3624 0.7660
```